(1)
Theoretical X-ray powder pattern of Li9Mn2Co5O16 for a wavelength of 1.5418 Å, from DFT lattice parameters and positions (GGA+U).
Peak positions follow from Bragg's law for the DFT cell and can differ from measured ones.

Largest 6 diffraction maxima, by intensity, 10° ≤ 2θ ≤ 90°:
(1 0 -1), 2θ 18.3, intensity 100.0; (0 2 -3), 2θ 42.5, intensity 29.3; (-2 2 3), 2θ 44.0, intensity 26.6; (2 0 2), 2θ 44.3, intensity 25.9; (1 -2 2), 2θ 35.3, intensity 15.6; (-1 2 2), 2θ 36.2, intensity 12.8

Structure:
abc: 5.841 5.913 9.728
angles: 91.85 99.20 119.39
Space group P1 (No. 1)
Symmetry-distinct sites (fractional):
Li 0.000 0.000 0.000 x1
Li 0.000 0.488 0.996 x1
Li 0.259 0.381 0.244 x1
Li 0.260 0.874 0.240 x1
Li 0.497 0.741 0.506 x1
Li 0.500 0.249 0.505 x1
Li 0.501 0.991 0.002 x1
Li 0.738 0.101 0.766 x1
Li 0.744 0.613 0.757 x1
Mn 0.004 0.749 0.501 x1
Mn 0.750 0.366 0.247 x1
Co 0.006 0.248 0.506 x1
Co 0.247 0.622 0.755 x1
Co 0.249 0.110 0.763 x1
Co 0.494 0.488 0.999 x1
Co 0.754 0.874 0.245 x1
O 0.092 0.027 0.380 x1
O 0.106 0.560 0.380 x1
O 0.122 0.293 0.876 x1
O 0.133 0.800 0.865 x1
O 0.343 0.431 0.628 x1
O 0.356 0.938 0.616 x1
O 0.404 0.200 0.134 x1
O 0.415 0.687 0.132 x1
O 0.588 0.774 0.872 x1
O 0.601 0.303 0.872 x1
O 0.651 0.554 0.380 x1
O 0.658 0.083 0.365 x1
O 0.860 0.665 0.138 x1
O 0.878 0.199 0.139 x1
O 0.888 0.935 0.616 x1
O 0.904 0.471 0.619 x1

=====

(2)
Theoretical X-ray powder pattern of MgV2O4 for a wavelength of 1.5418 Å, from DFT lattice parameters and positions (GGA+U).
Peak positions follow from Bragg's law for the DFT cell and can differ from measured ones.

Largest 6 diffraction maxima, by intensity, 10° ≤ 2θ ≤ 90°:
(0 0 1), 2θ 18.1, intensity 100.0; (1 -1 1), 2θ 41.3, intensity 48.2; (1 1 -2), 2θ 41.5, intensity 47.6; (0 2 1), 2θ 44.2, intensity 38.8; (1 3 -1), 2θ 61.4, intensity 25.1; (1 1 -1), 2θ 34.3, intensity 22.9

Structure:
abc: 3.053 5.232 5.270
angles: 103.84 106.67 90.10
Space group P-1 (No. 2)
Symmetry-distinct sites (fractional):
Mg 0.000 0.000 0.000 x1
V 0.231 0.736 0.462 x2
O 0.152 0.349 0.303 x2
O 0.371 0.107 0.742 x2